1.
Structure and computed powder diffractogram of Ba3Th (a structure optimized by DFT (GGA-PBE); Cu Kα).
Neutral-atom scattering factors, no anomalous dispersion.

Peak list (10 most intense, 5° ≤ 2θ ≤ 70°, in order of falling intensity)
2theta	intensity	hkl
26.7	100	1 1 1
30.9	52	2 0 0
52.4	47	3 1 1
44.3	38	2 2 0
54.9	14	2 2 2
64.4	6	4 0 0
15.3	5	1 0 0
21.7	5	1 1 0
34.6	3	2 1 0
38.1	3	2 1 1

Structural model:
abc: 5.7895 5.7895 5.7895
angles: 90.00 90.00 90.00
Sites, in units of the cell vectors:
Ba 0.0000 0.0000 0.5000
Ba 0.0000 0.5000 0.0000
Ba 0.5000 0.0000 0.0000
Th 0.5000 0.5000 0.5000



2.
Structure and computed powder diffractogram of Ba3Th (a structure optimized by DFT (GGA-PBE); Cu Kα).
Neutral-atom scattering factors, no anomalous dispersion.

Peak list (10 most intense, 5° ≤ 2θ ≤ 70°, in order of falling intensity)
2theta	intensity	hkl
28.0	100	2 0 1
27.3	24	0 0 2
51.6	24	2 2 2
24.3	24	2 0 0
48.7	22	2 0 3
42.8	20	2 2 0
51.9	17	4 0 1
36.9	17	2 0 2
69.5	14	4 2 1
66.8	8	4 0 3

Structural model:
abc: 8.4440 8.4440 6.5258
angles: 90.00 90.00 120.00
Sites, in units of the cell vectors:
Ba 0.1758 0.3516 0.2500
Ba 0.1758 0.8242 0.2500
Ba 0.3516 0.1758 0.7500
Ba 0.6484 0.8242 0.2500
Ba 0.8242 0.1758 0.7500
Ba 0.8242 0.6484 0.7500
Th 0.3333 0.6667 0.7500
Th 0.6667 0.3333 0.2500



3.
Structure and computed powder diffractogram of BaTl2 (a structure optimized by DFT (GGA-PBE); Cu Kα).
Neutral-atom scattering factors, no anomalous dispersion.

Peak list (10 most intense, 5° ≤ 2θ ≤ 70°, in order of falling intensity)
2theta	intensity	hkl
33.3	100	1 1 0
28.1	99	1 0 2
36.6	38	1 0 3
44.1	29	2 0 2
56.4	28	2 1 2
21.7	20	1 0 1
59.6	19	3 0 0
56.6	19	1 0 5
39.4	19	1 1 2
61.7	17	2 1 3

Structural model:
abc: 5.3765 5.3765 8.6794
angles: 90.00 90.00 120.00
Sites, in units of the cell vectors:
Ba 0.0000 0.0000 0.2500
Ba 0.0000 0.0000 0.7500
Tl 0.3333 0.6667 0.0460
Tl 0.3333 0.6667 0.4540
Tl 0.6667 0.3333 0.5460
Tl 0.6667 0.3333 0.9540